The following is a computed X-ray powder pattern of PaFe2F11. It was derived from a GGA+U-relaxed structure, using Cu Kα (weighted mean of Kα1 and Kα2).
Neutral-atom scattering factors, no anomalous dispersion.

Most intense lines, 5° ≤ 2θ ≤ 70°, by angle:
| 2θ (°) | I (rel.) |
| --- | --- |
| 15.20 | 55 |
| 22.28 | 100 |
| 24.63 | 45 |
| 30.41 | 15 |
| 45.27 | 22 |
| 45.45 | 18 |
| 49.79 | 17 |
| 51.87 | 14 |

Atomic structure:
```
PaFe2F11
1.0
-3.664 4.813 5.474
3.664 -4.813 5.474
3.664 4.813 -5.474
Pa Fe F
2 4 22
Cartesian
0.000 0.000 2.737
0.000 0.000 8.212
4.607 1.729 0.000
0.943 3.084 0.000
2.720 1.729 5.474
-0.943 3.084 5.474
3.664 0.000 0.000
4.371 -3.055 3.899
1.699 -0.668 1.483
4.371 3.055 -1.576
5.628 0.668 1.483
2.661 2.171 0.000
2.661 -2.171 5.474
1.965 4.145 -1.483
0.707 1.758 1.576
1.699 0.668 3.991
4.371 3.055 1.576
0.000 4.813 0.000
-0.707 1.758 3.899
1.965 4.145 1.483
2.956 3.055 3.899
1.699 0.668 6.957
1.003 6.984 0.000
1.003 2.642 5.474
-1.965 4.145 3.991
-0.707 1.758 7.050
1.965 5.481 3.991
-0.707 7.868 1.576
```